This entry pairs a crystal structure of Ba2Cr3O7 with its calculated XRD peak list. Radiation: Cu Kα (weighted mean of Kα1 and Kα2). Structure: DFT lattice parameters and positions (GGA+U).

Cell and atoms:
a = 3.8007 Å, b = 13.9087 Å, c = 3.8746 Å
α = 90.00°, β = 90.00°, γ = 90.00°
Atoms (fractional coordinates):
Ba (0.0000, 0.1943, 0.0000)
Ba (0.0000, 0.8057, 0.0000)
Cr (0.5000, 0.0000, 0.3682)
Cr (0.5000, 0.3511, 0.5004)
Cr (0.5000, 0.6489, 0.5004)
O (0.0000, 0.0000, 0.2175)
O (0.0000, 0.3289, 0.4990)
O (0.0000, 0.6711, 0.4990)
O (0.5000, 0.1188, 0.5214)
O (0.5000, 0.3307, 0.9999)
O (0.5000, 0.6693, 0.9999)
O (0.5000, 0.8812, 0.5214)

Top 10 peaks for 2θ from 10° to 90°, by angle:
(0 2 0), 6.954 Å, I 100
(0 2 1), 3.385 Å, I 43
(1 2 0), 3.335 Å, I 40
(0 3 1), 2.973 Å, I 82
(1 3 0), 2.939 Å, I 79
(1 0 1), 2.713 Å, I 75
(1 5 1), 1.942 Å, I 38
(2 0 0), 1.900 Å, I 25
(1 3 2), 1.618 Å, I 22
(2 3 1), 1.602 Å, I 33